[1]
# TbErBe2Si2
Simulated powder X-ray diffraction pattern, Cu Kα, 1.54184 Å. Input: a GGA-PBE-relaxed structure.

The 10 most intense peaks (2θ from 10° to 80°), low angle first:
| 2theta | Rel. int. | h k l |
| --- | --- | --- |
| 22.16 | 25.2 | 0 0 2 |
| 26.63 | 64.7 | 1 0 0 |
| 34.91 | 100.0 | 1 0 2 |
| 47.01 | 25.9 | 1 1 0 |
| 52.56 | 16.1 | 1 1 2 |
| 53.24 | 19.8 | 0 1 4 |
| 59.87 | 21.0 | 0 2 2 |
| 67.27 | 17.7 | 1 1 4 |
| 76.75 | 10.2 | 1 0 6 |
| 79.41 | 18.8 | 2 1 2 |

Crystal structure
a b c (Å): 3.8659 3.8659 8.0232
angles (deg): 90.00 90.00 120.00
Space group P-3m1 (No. 164)
One atom of each set of equivalent atoms:
Tb 0.0000 0.0000 0.0000 [1 per cell]
Er 0.0000 0.0000 0.5000 [1 per cell]
Be 0.3333 0.6667 0.7473 [2 per cell]
Si 0.3333 0.6667 0.2534 [2 per cell]

[2]
# YErBe2Si2
Simulated powder X-ray diffraction pattern, Cu Kα, 1.54184 Å. Input: a GGA-PBE-relaxed structure.

The 10 most intense peaks (2θ from 10° to 80°), low angle first:
| 2theta | Rel. int. | h k l |
| --- | --- | --- |
| 11.05 | 15.7 | 0 0 1 |
| 22.21 | 20.7 | 0 0 2 |
| 26.66 | 58.2 | 1 0 0 |
| 28.94 | 13.4 | 1 0 1 |
| 34.97 | 100.0 | 1 0 2 |
| 47.07 | 26.7 | 1 1 0 |
| 53.36 | 17.4 | 0 1 4 |
| 59.97 | 20.7 | 0 2 2 |
| 67.41 | 18.1 | 1 1 4 |
| 79.54 | 18.3 | 2 1 2 |

Crystal structure
a b c (Å): 3.8609 3.8609 8.0035
angles (deg): 90.00 90.00 120.00
Space group P-3m1 (No. 164)
One atom of each set of equivalent atoms:
Y 0.0000 0.0000 0.0000 [1 per cell]
Er 0.0000 0.0000 0.5000 [1 per cell]
Be 0.3333 0.6667 0.7475 [2 per cell]
Si 0.3333 0.6667 0.2532 [2 per cell]

[3]
# K2NdBe2F8
Simulated powder X-ray diffraction pattern, Cu Kα, 1.54184 Å. Input: a GGA-PBE-relaxed structure.

The 10 most intense peaks (2θ from 10° to 80°), low angle first:
| 2theta | Rel. int. | h k l |
| --- | --- | --- |
| 13.28 | 43.7 | 0 0 3 |
| 20.05 | 100.0 | 1 0 1 |
| 21.49 | 49.1 | 0 1 2 |
| 26.51 | 38.8 | 1 0 4 |
| 29.76 | 93.3 | 0 1 5 |
| 34.20 | 90.3 | 1 1 0 |
| 36.84 | 45.3 | 1 1 3 |
| 43.79 | 52.5 | 0 2 4 |
| 43.93 | 77.7 | 1 1 6 |
| 45.96 | 43.3 | 2 0 5 |

Crystal structure
a b c (Å): 5.2430 5.2430 20.0062
angles (deg): 90.00 90.00 120.00
Space group R-3m (No. 166, hexagonal axes)
One atom of each set of equivalent atoms:
K 0.0000 0.0000 0.2019 [6 per cell]
Nd 0.0000 0.0000 0.0000 [3 per cell]
Be 0.0000 0.0000 0.4026 [6 per cell]
F 0.0000 0.0000 0.3259 [6 per cell]
F 0.0119 0.5060 0.2374 [18 per cell]

[4]
# Li6ZrBeF12
Simulated powder X-ray diffraction pattern, Cu Kα, 1.54184 Å. Input: a GGA-PBE-relaxed structure.

The 10 most intense peaks (2θ from 10° to 80°), low angle first:
| 2theta | Rel. int. | h k l |
| --- | --- | --- |
| 14.64 | 97.2 | 1 0 1 |
| 20.28 | 55.5 | 1 0 3 |
| 21.92 | 100.0 | 1 1 2 |
| 27.76 | 31.3 | 2 0 0 |
| 34.32 | 55.5 | 2 0 4 |
| 40.19 | 46.3 | 2 1 5 |
| 41.23 | 33.8 | 2 0 6 |
| 44.94 | 34.3 | 3 0 3 |
| 57.35 | 28.9 | 4 0 0 |
| 57.74 | 45.7 | 2 2 8 |

Crystal structure
a b c (Å): 6.4268 6.4268 17.9506
angles (deg): 90.00 90.00 90.00
Space group I4_1/amd (No. 141, origin choice 2)
One atom of each set of equivalent atoms:
Li 0.0000 0.2500 0.1017 [8 per cell]
Li 0.2342 0.0000 0.0000 [16 per cell]
Zr 0.0000 0.2500 0.3750 [4 per cell]
Be 0.0000 0.2500 0.8750 [4 per cell]
F 0.0000 0.0138 0.2905 [16 per cell]
F 0.0000 0.0423 0.5740 [16 per cell]
F 0.0000 0.0547 0.9263 [16 per cell]

[5]
# TaBe2NbF2
Simulated powder X-ray diffraction pattern, Cu Kα, 1.54184 Å. Input: a GGA-PBE-relaxed structure.

The 10 most intense peaks (2θ from 10° to 80°), low angle first:
| 2theta | Rel. int. | h k l |
| --- | --- | --- |
| 14.63 | 27.8 | 0 0 2 |
| 27.82 | 76.9 | 0 1 1 |
| 29.50 | 38.6 | 0 0 4 |
| 30.97 | 100.0 | 1 0 2 |
| 34.96 | 32.4 | 0 1 3 |
| 39.26 | 37.4 | 1 1 1 |
| 44.82 | 86.2 | 1 1 3 |
| 46.38 | 29.1 | 0 1 5 |
| 53.26 | 22.8 | 1 0 6 |
| 64.69 | 24.3 | 1 2 2 |

Crystal structure
a b c (Å): 3.2851 3.3252 12.1109
angles (deg): 90.00 90.00 90.00
Space group Amm2 (No. 38)
One atom of each set of equivalent atoms:
Ta 0.0000 0.0000 0.0000 [2 per cell]
Be 0.0000 0.0000 0.3446 [2 per cell]
Be 0.5000 0.0000 0.4261 [2 per cell]
Nb 0.5000 0.0000 0.7713 [2 per cell]
F 0.0000 0.0000 0.6353 [2 per cell]
F 0.5000 0.0000 0.1287 [2 per cell]

[6]
# Be4Pt3F2
Simulated powder X-ray diffraction pattern, Cu Kα, 1.54184 Å. Input: a GGA-PBE-relaxed structure.

The 10 most intense peaks (2θ from 10° to 80°), low angle first:
| 2theta | Rel. int. | h k l |
| --- | --- | --- |
| 12.36 | 100.0 | 0 0 1 |
| 23.05 | 34.4 | 1 0 1 |
| 25.15 | 70.0 | 1 0 -2 |
| 30.77 | 74.1 | 2 0 -1 |
| 33.48 | 58.9 | 0 1 0 |
| 33.65 | 59.0 | 1 0 2 |
| 36.14 | 34.6 | 1 0 -3 |
| 42.33 | 39.9 | 1 1 -2 |
| 46.11 | 50.6 | 2 1 -1 |
| 48.21 | 40.8 | 1 1 2 |

Crystal structure
a b c (Å): 5.8338 2.6762 7.5199
angles (deg): 90.00 107.74 90.00
Space group Pm (No. 6)
One atom of each set of equivalent atoms:
Be 0.0000 0.0000 0.0000 [1 per cell]
Be 0.1292 0.0000 0.5496 [1 per cell]
Be 0.4965 0.0000 0.2326 [1 per cell]
Be 0.8639 0.0000 0.2490 [1 per cell]
Pt 0.2130 0.5000 0.3027 [1 per cell]
Pt 0.6158 0.5000 0.0212 [1 per cell]
Pt 0.7710 0.5000 0.4744 [1 per cell]
F 0.0227 0.5000 0.8906 [1 per cell]
F 0.3228 0.0000 0.7218 [1 per cell]

[7]
# BeGaFe2
Simulated powder X-ray diffraction pattern, Cu Kα, 1.54184 Å. Input: a GGA-PBE-relaxed structure.

The 10 most intense peaks (2θ from 10° to 80°), low angle first:
| 2theta | Rel. int. | h k l |
| --- | --- | --- |
| 15.95 | 7.5 | 1 0 0 |
| 27.81 | 8.5 | 1 1 1 |
| 32.22 | 5.0 | 2 0 0 |
| 36.15 | 25.0 | 2 1 0 |
| 46.21 | 100.0 | 2 2 0 |
| 49.19 | 8.3 | 3 0 0 |
| 54.79 | 3.7 | 3 1 1 |
| 67.41 | 14.0 | 4 0 0 |
| 69.78 | 8.4 | 3 2 2 |
| 78.95 | 4.4 | 4 2 1 |

Crystal structure
a b c (Å): 5.5567 5.5567 5.5567
angles (deg): 90.00 90.00 90.00
Space group Pm-3m (No. 221)
One atom of each set of equivalent atoms:
Be 0.0000 0.0000 0.0000 [1 per cell]
Be 0.0000 0.0000 0.5000 [3 per cell]
Ga 0.0000 0.5000 0.5000 [3 per cell]
Ga 0.5000 0.5000 0.5000 [1 per cell]
Fe 0.2316 0.2316 0.2316 [8 per cell]

[8]
# BeNbFeGe
Simulated powder X-ray diffraction pattern, Cu Kα, 1.54184 Å. Input: a GGA-PBE-relaxed structure.

The 9 most intense peaks (2θ from 10° to 80°), low angle first:
| 2theta | Rel. int. | h k l |
| --- | --- | --- |
| 25.88 | 28.5 | 1 1 1 |
| 29.97 | 13.2 | 2 0 0 |
| 42.90 | 100.0 | 2 2 0 |
| 50.79 | 13.8 | 3 1 1 |
| 53.22 | 3.2 | 2 2 2 |
| 62.29 | 15.8 | 4 0 0 |
| 68.61 | 5.5 | 3 3 1 |
| 70.66 | 3.8 | 4 2 0 |
| 78.61 | 31.5 | 4 2 2 |

Crystal structure
a b c (Å): 5.9622 5.9622 5.9622
angles (deg): 90.00 90.00 90.00
Space group F-43m (No. 216)
One atom of each set of equivalent atoms:
Be 0.0000 0.0000 0.0000 [4 per cell]
Nb 0.2500 0.2500 0.2500 [4 per cell]
Fe 0.2500 0.2500 0.7500 [4 per cell]
Ge 0.0000 0.0000 0.5000 [4 per cell]

[9]
# BeFeSiGe
Simulated powder X-ray diffraction pattern, Cu Kα, 1.54184 Å. Input: a GGA-PBE-relaxed structure.

The 8 most intense peaks (2θ from 10° to 80°), low angle first:
| 2theta | Rel. int. | h k l |
| --- | --- | --- |
| 26.96 | 46.8 | 1 1 1 |
| 31.23 | 7.2 | 2 0 0 |
| 44.76 | 100.0 | 2 2 0 |
| 53.03 | 21.0 | 3 1 1 |
| 55.59 | 2.0 | 2 2 2 |
| 65.15 | 15.5 | 4 0 0 |
| 71.85 | 7.8 | 3 3 1 |
| 74.02 | 2.8 | 4 2 0 |

Crystal structure
a b c (Å): 5.7272 5.7272 5.7272
angles (deg): 90.00 90.00 90.00
Space group F-43m (No. 216)
One atom of each set of equivalent atoms:
Be 0.0000 0.0000 0.0000 [4 per cell]
Fe 0.0000 0.0000 0.5000 [4 per cell]
Si 0.2500 0.2500 0.2500 [4 per cell]
Ge 0.2500 0.2500 0.7500 [4 per cell]

[10]
# BeInFe2
Simulated powder X-ray diffraction pattern, Cu Kα, 1.54184 Å. Input: a GGA-PBE-relaxed structure.

The 10 most intense peaks (2θ from 10° to 80°), low angle first:
| 2theta | Rel. int. | h k l |
| --- | --- | --- |
| 14.98 | 10.6 | 1 0 0 |
| 26.10 | 18.0 | 1 1 1 |
| 33.90 | 54.6 | 2 1 0 |
| 43.28 | 100.0 | 2 2 0 |
| 46.05 | 19.4 | 3 0 0 |
| 51.25 | 6.8 | 3 1 1 |
| 62.87 | 12.3 | 4 0 0 |
| 65.04 | 17.8 | 3 2 2 |
| 73.38 | 8.2 | 4 2 1 |
| 79.40 | 21.2 | 4 2 2 |

Crystal structure
a b c (Å): 5.9126 5.9126 5.9126
angles (deg): 90.00 90.00 90.00
Space group Pm-3m (No. 221)
One atom of each set of equivalent atoms:
Be 0.0000 0.0000 0.0000 [1 per cell]
Be 0.0000 0.0000 0.5000 [3 per cell]
In 0.0000 0.5000 0.5000 [3 per cell]
In 0.5000 0.5000 0.5000 [1 per cell]
Fe 0.2128 0.2128 0.2128 [8 per cell]

[11]
# BeInFeIr
Simulated powder X-ray diffraction pattern, Cu Kα, 1.54184 Å. Input: a GGA-PBE-relaxed structure.

The 9 most intense peaks (2θ from 10° to 80°), low angle first:
| 2theta | Rel. int. | h k l |
| --- | --- | --- |
| 25.54 | 14.5 | 1 1 1 |
| 29.57 | 55.1 | 2 0 0 |
| 42.31 | 100.0 | 2 2 0 |
| 50.08 | 7.4 | 3 1 1 |
| 52.47 | 15.4 | 2 2 2 |
| 61.38 | 16.3 | 4 0 0 |
| 67.59 | 3.1 | 3 3 1 |
| 69.59 | 20.0 | 4 2 0 |
| 77.38 | 33.0 | 4 2 2 |

Crystal structure
a b c (Å): 6.0415 6.0415 6.0415
angles (deg): 90.00 90.00 90.00
Space group F-43m (No. 216)
One atom of each set of equivalent atoms:
Be 0.0000 0.0000 0.0000 [4 per cell]
In 0.2500 0.2500 0.2500 [4 per cell]
Fe 0.0000 0.0000 0.5000 [4 per cell]
Ir 0.2500 0.2500 0.7500 [4 per cell]

[12]
# KBeFe2
Simulated powder X-ray diffraction pattern, Cu Kα, 1.54184 Å. Input: a GGA-PBE-relaxed structure.

The 10 most intense peaks (2θ from 10° to 80°), low angle first:
| 2theta | Rel. int. | h k l |
| --- | --- | --- |
| 13.18 | 97.0 | 0 0 1 |
| 26.53 | 38.0 | 0 0 2 |
| 32.19 | 100.0 | 1 0 1 |
| 39.89 | 31.2 | 1 0 2 |
| 50.53 | 26.5 | 1 0 3 |
| 51.85 | 33.1 | 1 1 0 |
| 53.74 | 14.6 | 1 1 1 |
| 59.17 | 20.5 | 1 1 2 |
| 62.36 | 12.5 | 0 2 1 |
| 63.16 | 16.6 | 1 0 4 |

Crystal structure
a b c (Å): 3.5266 3.5266 6.7200
angles (deg): 90.00 90.00 120.00
Space group P3m1 (No. 156)
One atom of each set of equivalent atoms:
K 0.0000 0.0000 0.0000 [1 per cell]
Be 0.3333 0.6667 0.3509 [1 per cell]
Fe 0.3333 0.6667 0.6386 [1 per cell]
Fe 0.6667 0.3333 0.5396 [1 per cell]

[13]
# Li2BeFeP2
Simulated powder X-ray diffraction pattern, Cu Kα, 1.54184 Å. Input: a GGA-PBE-relaxed structure.

The 10 most intense peaks (2θ from 10° to 80°), low angle first:
| 2theta | Rel. int. | h k l |
| --- | --- | --- |
| 14.58 | 100.0 | 0 0 1 |
| 25.40 | 30.0 | 1 0 0 |
| 29.41 | 83.9 | 1 0 1 |
| 39.24 | 49.4 | 1 1 1 |
| 47.33 | 59.3 | 1 1 2 |
| 52.17 | 42.4 | 2 0 0 |
| 58.89 | 16.5 | 1 1 3 |
| 61.02 | 22.7 | 0 0 4 |
| 67.18 | 13.4 | 1 0 4 |
| 76.89 | 18.0 | 2 2 0 |

Crystal structure
a b c (Å): 3.5069 3.5069 6.0734
angles (deg): 90.00 90.00 90.00
Space group P-4m2 (No. 115)
One atom of each set of equivalent atoms:
Li 0.0000 0.5000 0.1495 [2 per cell]
Be 0.5000 0.5000 0.5000 [1 per cell]
Fe 0.0000 0.0000 0.5000 [1 per cell]
P 0.0000 0.5000 0.7284 [2 per cell]

[14]
# MgBeFe2
Simulated powder X-ray diffraction pattern, Cu Kα, 1.54184 Å. Input: a GGA-PBE-relaxed structure.

The 10 most intense peaks (2θ from 10° to 80°), low angle first:
| 2theta | Rel. int. | h k l |
| --- | --- | --- |
| 15.43 | 8.8 | 1 0 0 |
| 31.15 | 48.2 | 2 0 0 |
| 34.94 | 22.6 | 2 1 0 |
| 44.63 | 100.0 | 2 2 0 |
| 47.50 | 14.1 | 3 0 0 |
| 55.43 | 7.0 | 2 2 2 |
| 57.90 | 12.4 | 3 2 0 |
| 64.96 | 11.3 | 4 0 0 |
| 67.22 | 13.1 | 3 2 2 |
| 73.80 | 4.4 | 4 2 0 |

Crystal structure
a b c (Å): 5.7421 5.7421 5.7421
angles (deg): 90.00 90.00 90.00
Space group Pm-3m (No. 221)
One atom of each set of equivalent atoms:
Mg 0.0000 0.0000 0.0000 [1 per cell]
Mg 0.0000 0.0000 0.5000 [3 per cell]
Be 0.0000 0.5000 0.5000 [3 per cell]
Be 0.5000 0.5000 0.5000 [1 per cell]
Fe 0.2811 0.2811 0.2811 [8 per cell]